Entry 1:
Starting from a structure optimized by DFT (PBE+U), the powder diffractogram of Li2Mn5Si4O14 was simulated for Cu Kα X-rays.
Lines closer than 0.1° are merged.

Structural model:
a = 5.5584 Å, b = 7.6490 Å, c = 8.0361 Å
α = 113.41°, β = 93.88°, γ = 103.79°
Space group P-1 (No. 2)
Symmetry-distinct sites (fractional):
Li  0.2269  0.1033  0.4607 (multiplicity 2)
Mn  0.0000  0.0000  0.0000 (multiplicity 1)
Mn  0.0956  0.3750  0.8275 (multiplicity 2)
Mn  0.3709  0.4219  0.2977 (multiplicity 2)
Si  0.2028  0.7896  0.6092 (multiplicity 2)
Si  0.4937  0.7841  0.1404 (multiplicity 2)
O  0.0320  0.1891  0.2746 (multiplicity 2)
O  0.1154  0.8242  0.4292 (multiplicity 2)
O  0.2048  0.6771  0.0267 (multiplicity 2)
O  0.2967  0.5923  0.5671 (multiplicity 2)
O  0.2983  0.2412  0.9997 (multiplicity 2)
O  0.4272  0.3123  0.7209 (multiplicity 2)
O  0.4673  0.9747  0.7364 (multiplicity 2)

Top 6 peaks for 5 to 70 degrees two-theta, by angle:
| index | Position (°2θ) | Rel. int. |
| --- | --- | --- |
| 1 -2 1 | 26.0 | 70.6 |
| 1 1 -2 | 27.6 | 43.1 |
| 1 -2 2 | 30.5 | 100.0 |
| 1 2 -1 | 32.4 | 76.9 |
| 0 1 2 | 32.7 | 68.2 |
| -2 1 1 | 34.7 | 64.6 |



Entry 2:
Starting from a structure optimized by DFT (PBE+U), the powder diffractogram of VPO5 was simulated for Cu Kα X-rays.
Lines closer than 0.1° are merged.

Structural model:
a = 9.3761 Å, b = 9.3761 Å, c = 8.7459 Å
α = 90.00°, β = 90.00°, γ = 90.00°
Space group P4_2/mbc (No. 135)
Symmetry-distinct sites (fractional):
V  0.0862  0.2503  0.0000 (multiplicity 8)
P  0.0000  0.0000  0.2500 (multiplicity 4)
P  0.0000  0.5000  0.2500 (multiplicity 4)
O  0.0044  0.6351  0.1499 (multiplicity 16)
O  0.0886  0.1025  0.1499 (multiplicity 16)
O  0.1944  0.2522  0.5000 (multiplicity 8)

Top 6 peaks for 5 to 70 degrees two-theta, by angle:
| index | Position (°2θ) | Rel. int. |
| --- | --- | --- |
| 2 0 0 | 18.9 | 28.5 |
| 2 1 0 | 21.2 | 33.1 |
| 2 0 1 | 21.5 | 98.1 |
| 2 1 1 | 23.5 | 50.4 |
| 2 0 2 | 27.9 | 100.0 |
| 2 1 2 | 29.5 | 29.3 |



Entry 3:
Starting from a structure optimized by DFT (PBE+U), the powder diffractogram of Ba3TaFe3Si2O14 was simulated for Cu Kα X-rays.
Lines closer than 0.1° are merged.

Structural model:
a = 8.6603 Å, b = 8.6603 Å, c = 5.3148 Å
α = 90.00°, β = 90.00°, γ = 120.00°
Space group P321 (No. 150)
Symmetry-distinct sites (fractional):
Ba  0.0000  0.4334  0.0000 (multiplicity 3)
Ta  0.0000  0.0000  0.0000 (multiplicity 1)
Fe  0.0000  0.7491  0.5000 (multiplicity 3)
Si  0.3333  0.6667  0.5220 (multiplicity 2)
O  0.1000  0.2151  0.2234 (multiplicity 6)
O  0.1775  0.7027  0.6456 (multiplicity 6)
O  0.3333  0.6667  0.2176 (multiplicity 2)

Top 6 peaks for 5 to 70 degrees two-theta, by angle:
| index | Position (°2θ) | Rel. int. |
| --- | --- | --- |
| 2 0 0 | 23.7 | 29.2 |
| 1 1 1 | 26.6 | 45.4 |
| 0 2 1 | 29.1 | 100.0 |
| 3 0 0 | 35.9 | 22.4 |
| 0 2 2 | 41.7 | 27.9 |
| 1 2 2 | 46.9 | 28.3 |



Entry 4:
Starting from a structure optimized by DFT (PBE+U), the powder diffractogram of Ba3Fe2WO9 was simulated for Cu Kα X-rays.
Lines closer than 0.1° are merged.

Structural model:
a = 5.8601 Å, b = 5.8601 Å, c = 14.3842 Å
α = 90.00°, β = 90.00°, γ = 120.00°
Space group P6_3mc (No. 186)
Symmetry-distinct sites (fractional):
Ba  0.0000  0.0000  0.0000 (multiplicity 2)
Ba  0.3333  0.6667  0.1661 (multiplicity 2)
Ba  0.3333  0.6667  0.8538 (multiplicity 2)
Fe  0.0000  0.0000  0.2604 (multiplicity 2)
Fe  0.3333  0.6667  0.3975 (multiplicity 2)
W  0.3333  0.6667  0.5952 (multiplicity 2)
O  0.0308  0.5154  0.5085 (multiplicity 6)
O  0.1643  0.3286  0.3340 (multiplicity 6)
O  0.1712  0.3425  0.6684 (multiplicity 6)

Top 6 peaks for 5 to 70 degrees two-theta, by angle:
| index | Position (°2θ) | Rel. int. |
| --- | --- | --- |
| 1 0 3 | 25.6 | 19.7 |
| 1 1 0 | 30.5 | 100.0 |
| 2 0 4 | 43.7 | 21.5 |
| 1 0 7 | 47.8 | 15.5 |
| 2 1 4 | 54.2 | 16.1 |
| 2 2 0 | 63.5 | 14.1 |



Entry 5:
Starting from a structure optimized by DFT (PBE+U), the powder diffractogram of Li3MnP2O8 was simulated for Cu Kα X-rays.
Lines closer than 0.1° are merged.

Structural model:
a = 4.7292 Å, b = 6.0346 Å, c = 10.1717 Å
α = 88.40°, β = 88.17°, γ = 89.70°
Space group P-1 (No. 2)
Symmetry-distinct sites (fractional):
Li  0.0000  0.0000  0.0000 (multiplicity 1)
Li  0.0000  0.5000  0.0000 (multiplicity 1)
Li  0.0194  0.2381  0.7157 (multiplicity 2)
Li  0.5000  0.0000  0.5000 (multiplicity 1)
Li  0.5000  0.5000  0.5000 (multiplicity 1)
Mn  0.4786  0.2556  0.2172 (multiplicity 2)
P  0.0930  0.7403  0.6032 (multiplicity 2)
P  0.4297  0.7453  0.0905 (multiplicity 2)
O  0.1951  0.7640  0.4590 (multiplicity 2)
O  0.2226  0.5274  0.6657 (multiplicity 2)
O  0.2342  0.9334  0.6812 (multiplicity 2)
O  0.2383  0.2502  0.3835 (multiplicity 2)
O  0.2500  0.2545  0.9159 (multiplicity 2)
O  0.2874  0.9426  0.1607 (multiplicity 2)
O  0.2937  0.5297  0.1574 (multiplicity 2)
O  0.2977  0.7506  0.9475 (multiplicity 2)

Top 6 peaks for 5 to 70 degrees two-theta, by angle:
| index | Position (°2θ) | Rel. int. |
| --- | --- | --- |
| 0 1 1 | 16.9 | 78.4 |
| 0 1 -1 | 17.3 | 72.5 |
| 1 0 1 | 20.5 | 73.0 |
| 1 0 -1 | 21.0 | 57.9 |
| 1 0 -2 | 26.2 | 57.2 |
| 0 2 0 | 29.6 | 100.0 |